Starting from a cell relaxed with GGA-PBE, the X-ray diffraction stick pattern of Sm2FeP3Rh12 was simulated for Cu Kα.
Peak positions follow from Bragg's law for the DFT cell and can differ from measured ones.

Structure:
abc: 8.4341 8.4341 15.1732
angles: 90.00 90.00 120.00
Space group R-3m (No. 166, hexagonal axes)
One atom of each set of equivalent atoms:
Sm 0.0000 0.0000 0.1070
Fe 0.0000 0.0000 0.5000
P 0.0000 0.5000 0.0000
Rh 0.0031 0.5015 0.8552
Rh 0.0532 0.5266 0.3596

Top 12 peaks for 2θ = 15–90°, by angle:
| Position (°2θ) | I (rel.) |
| --- | --- |
| 25.08 | 13 |
| 31.94 | 24 |
| 32.98 | 15 |
| 34.08 | 100 |
| 34.57 | 27 |
| 42.89 | 84 |
| 52.15 | 13 |
| 54.50 | 28 |
| 55.88 | 17 |
| 56.85 | 12 |
| 63.41 | 14 |
| 72.93 | 12 |